Record 1
The following is a theoretical XRD peak list of SmTh4Hg5. It was derived from a crystal structure in Alexandria, relaxed with PBE, using Cu Kα (weighted mean of Kα1 and Kα2).
Neutral-atom scattering factors, no anomalous dispersion.

Structure:
```
data_SmTh4Hg5
_chemical_formula_sum 'Sm1 Th4 Hg5'
_cell_length_a 3.7902
_cell_length_b 3.7902
_cell_length_c 19.4117
_cell_angle_alpha 90.00
_cell_angle_beta 90.00
_cell_angle_gamma 90.00
_symmetry_space_group_name_H-M 'P 1'
_symmetry_Int_Tables_number 1
loop_
_symmetry_equiv_pos_as_xyz
'x,y,z'
loop_
_atom_site_label
_atom_site_fract_x
_atom_site_fract_y
_atom_site_fract_z
Sm1 0.0000 0.0000 0.0000
Th1 0.0000 0.0000 0.1985
Th2 0.0000 0.0000 0.3994
Th3 0.0000 0.0000 0.6006
Th4 0.0000 0.0000 0.8015
Hg1 0.5000 0.5000 0.0944
Hg2 0.5000 0.5000 0.2983
Hg3 0.5000 0.5000 0.5000
Hg4 0.5000 0.5000 0.7017
Hg5 0.5000 0.5000 0.9056
```

The 8 most intense peaks (2θ = 10–90°), by angle:
2θ/deg, Rel. int.
33.03, 100
33.43, 49
46.80, 9
48.01, 18
58.73, 19
59.51, 38
69.29, 12
80.06, 8

---

Record 2
The following is a theoretical XRD peak list of Nb6MoIr. It was derived from a crystal structure in Alexandria, relaxed with PBE, using Cu Kα (weighted mean of Kα1 and Kα2).
Neutral-atom scattering factors, no anomalous dispersion.

Structure:
```
data_Nb6MoIr
_chemical_formula_sum 'Nb6 Mo1 Ir1'
_cell_length_a 4.5917
_cell_length_b 5.6536
_cell_length_c 5.6536
_cell_angle_alpha 70.41
_cell_angle_beta 90.00
_cell_angle_gamma 90.00
_symmetry_space_group_name_H-M 'P 1'
_symmetry_Int_Tables_number 1
loop_
_symmetry_equiv_pos_as_xyz
'x,y,z'
loop_
_atom_site_label
_atom_site_fract_x
_atom_site_fract_y
_atom_site_fract_z
Nb1 0.0000 0.0000 0.0000
Nb2 0.0000 0.5028 0.9960
Nb3 0.0000 0.9960 0.5028
Nb4 0.5000 0.2491 0.2491
Nb5 0.5000 0.2493 0.7492
Nb6 0.5000 0.7492 0.2493
Mo1 0.5000 0.7494 0.7494
Ir1 0.0000 0.4988 0.4988
```

The 8 most intense peaks (2θ = 10–90°), by angle:
2θ/deg, Rel. int.
38.99, 25
39.10, 100
39.24, 25
56.50, 25
70.72, 25
70.92, 8
71.03, 17
84.02, 11